Computed X-ray powder pattern of Tb3PmNd6Sm2 for Cu Ka, from a crystal structure in Alexandria, relaxed with GGA-PBE.
No peak broadening, texture or thermal motion is included.

Cell and atoms:
```
data_Tb3PmNd6Sm2
_symmetry_space_group_name_H-M 'P 1'
_symmetry_Int_Tables_number 1
_cell_length_a 6.3171
_cell_length_b 6.3171
_cell_length_c 12.0218
_cell_angle_alpha 95.02
_cell_angle_beta 95.02
_cell_angle_gamma 120.00
loop_
_symmetry_equiv_pos_as_xyz
'x,y,z'
loop_
_atom_site_label
_atom_site_type_symbol
_atom_site_fract_x
_atom_site_fract_y
_atom_site_fract_z
_atom_site_occupancy
Tb1 Tb 0.0000 0.0000 0.0000 1
Tb2 Tb 0.3333 0.6667 0.0000 1
Tb3 Tb 0.6667 0.3333 0.0000 1
Pm1 Pm 0.5000 0.5000 0.5000 1
Nd1 Nd 0.0824 0.4159 0.2478 1
Nd2 Nd 0.2507 0.2507 0.7522 1
Nd3 Nd 0.4159 0.0824 0.2478 1
Nd4 Nd 0.5841 0.9176 0.7522 1
Nd5 Nd 0.7493 0.7493 0.2478 1
Nd6 Nd 0.9176 0.5841 0.7522 1
Sm1 Sm 0.1666 0.8334 0.5000 1
Sm2 Sm 0.8334 0.1666 0.5000 1
```

Most intense lines, 2θ = 15–90°, low angle first:
two_theta  I (rel.)
30.0  100.0
30.2  32.8
34.9  67.3
50.0  24.3
50.2  23.9
59.4  14.4
59.5  28.7
59.8  14.2
62.4  12.5
81.3  11.8

Computed X-ray powder pattern of AcLaNi2H8 for Cu Ka, from a crystal structure in Alexandria, relaxed with GGA-PBE.
No peak broadening, texture or thermal motion is included.

Cell and atoms:
```
data_AcLaNi2H8
_symmetry_space_group_name_H-M 'P 1'
_symmetry_Int_Tables_number 1
_cell_length_a 7.4502
_cell_length_b 7.4502
_cell_length_c 7.4502
_cell_angle_alpha 36.33
_cell_angle_beta 36.33
_cell_angle_gamma 36.33
loop_
_symmetry_equiv_pos_as_xyz
'x,y,z'
loop_
_atom_site_label
_atom_site_type_symbol
_atom_site_fract_x
_atom_site_fract_y
_atom_site_fract_z
_atom_site_occupancy
Ac1 Ac 0.0000 0.0000 0.0000 1
La1 La 0.5000 0.5000 0.5000 1
Ni1 Ni 0.2519 0.2519 0.2519 1
Ni2 Ni 0.7481 0.7481 0.7481 1
H1 H 0.0425 0.0425 0.5860 1
H2 H 0.0425 0.5860 0.0425 1
H3 H 0.3289 0.3289 0.3289 1
H4 H 0.4140 0.9575 0.9575 1
H5 H 0.5860 0.0425 0.0425 1
H6 H 0.6711 0.6711 0.6711 1
H7 H 0.9575 0.4140 0.9575 1
H8 H 0.9575 0.9575 0.4140 1
```

Most intense lines, 2θ = 15–90°, low angle first:
two_theta  I (rel.)
23.7  30.9
28.0  100.0
38.8  43.1
41.3  35.9
47.1  11.3
48.5  22.4
57.9  12.8
63.8  19.6
67.3  16.8
71.9  13.6

Computed X-ray powder pattern of PrNd3Al8 for Cu Ka, from a crystal structure in Alexandria, relaxed with GGA-PBE.
No peak broadening, texture or thermal motion is included.

Cell and atoms:
```
data_PrNd3Al8
_symmetry_space_group_name_H-M 'P 1'
_symmetry_Int_Tables_number 1
_cell_length_a 5.6824
_cell_length_b 5.6824
_cell_length_c 9.3712
_cell_angle_alpha 90.00
_cell_angle_beta 90.00
_cell_angle_gamma 120.00
loop_
_symmetry_equiv_pos_as_xyz
'x,y,z'
loop_
_atom_site_label
_atom_site_type_symbol
_atom_site_fract_x
_atom_site_fract_y
_atom_site_fract_z
_atom_site_occupancy
Pr1 Pr 0.0000 0.0000 0.0000 1
Nd1 Nd 0.0000 0.0000 0.3638 1
Nd2 Nd 0.6667 0.3333 0.5000 1
Nd3 Nd 0.6667 0.3333 0.8636 1
Al1 Al 0.1623 0.3245 0.6814 1
Al2 Al 0.1623 0.8377 0.6814 1
Al3 Al 0.3333 0.6667 0.4324 1
Al4 Al 0.3333 0.6667 0.9317 1
Al5 Al 0.5045 0.0089 0.1828 1
Al6 Al 0.5045 0.4955 0.1828 1
Al7 Al 0.6755 0.8377 0.6814 1
Al8 Al 0.9911 0.4955 0.1828 1
```

Most intense lines, 2θ = 15–90°, low angle first:
two_theta  I (rel.)
18.0  37.0
18.9  17.7
20.4  31.0
31.5  72.9
34.0  100.0
37.0  66.9
37.8  32.2
57.7  42.1
62.3  19.3
76.1  19.1